Structure and theoretical powder diffractogram of NaEr6Se8 (a cell relaxed with GGA-PBE; a wavelength of 1.5418 Å).
Intensities are scaled so that the largest is 100.

Structural model:
Lattice parameters (Å, degrees): 11.3964 11.3964 11.3964 90.00 90.00 90.00
Space group Fm-3m (No. 225)
Unique sites:
Na1 0.0000 0.0000 0.0000 [4 per cell]
Er1 0.0000 0.2500 0.2500 [24 per cell]
Se1 0.0000 0.0000 0.2554 [24 per cell]
Se2 0.2500 0.2500 0.2500 [8 per cell]

The 8 most intense peaks (2θ from 15° to 90°), by intensity:
(4 0 0), 2θ 31.40, rel. 100; (4 4 0), 2θ 45.00, rel. 74; (8 4 0), 2θ 74.46, rel. 33; (4 4 4), 2θ 55.90, rel. 26; (8 4 4), 2θ 83.03, rel. 25; (2 0 0), 2θ 15.55, rel. 18; (2 2 0), 2θ 22.06, rel. 16; (8 0 0), 2θ 65.53, rel. 12